Record 1
Mg3Sn3RuRh2: simulated XRD peak list (Cu Kα, 1.54184 Å), based on a cell relaxed with GGA-PBE.
Kinematic intensities with the Lorentz-polarization factor, no thermal factor.

Most intense lines, 5° ≤ 2θ ≤ 70°, in order of rising 2θ:
- 2θ = 23.4°, d 3.803, rel. 61, (1 1 0)
- 2θ = 27.1°, d 3.289, rel. 36, (0 0 1)
- 2θ = 36.1°, d 2.488, rel. 100, (1 1 1)
- 2θ = 38.7°, d 2.327, rel. 58, (2 0 1)
- 2θ = 41.1°, d 2.196, rel. 88, (3 0 0)
- 2θ = 45.7°, d 1.985, rel. 56, (2 1 1)
- 2θ = 49.9°, d 1.826, rel. 32, (3 0 1)
- 2θ = 55.9°, d 1.645, rel. 33, (0 0 2)
- 2θ = 61.4°, d 1.510, rel. 16, (1 1 2)
- 2θ = 68.3°, d 1.373, rel. 45, (3 2 1)

Structure:
Cell: 7.6064 7.6064 3.2891 Å, 90.00 90.00 120.00°
Space group P-62m (No. 189)
Asymmetric unit:
Mg 0.0000 0.6154 0.0000 (multiplicity 3)
Sn 0.0000 0.2855 0.5000 (multiplicity 3)
Ru 0.0000 0.0000 0.0000 (multiplicity 1)
Rh 0.3333 0.6667 0.5000 (multiplicity 2)


Record 2
Mg3Al2Cu4: simulated XRD peak list (Cu Kα, 1.54184 Å), based on a cell relaxed with GGA-PBE.
Kinematic intensities with the Lorentz-polarization factor, no thermal factor.

Most intense lines, 5° ≤ 2θ ≤ 70°, in order of rising 2θ:
- 2θ = 21.6°, d 4.116, rel. 100, (2 0 -1)
- 2θ = 25.7°, d 3.468, rel. 58, (1 1 -1)
- 2θ = 37.0°, d 2.429, rel. 31, (3 1 0)
- 2θ = 39.9°, d 2.262, rel. 19, (3 1 1)
- 2θ = 41.8°, d 2.162, rel. 68, (3 1 -2)
- 2θ = 42.9°, d 2.110, rel. 100, (1 1 3)
- 2θ = 43.2°, d 2.096, rel. 29, (4 0 1)
- 2θ = 43.6°, d 2.076, rel. 57, (0 2 0)
- 2θ = 45.7°, d 1.986, rel. 41, (3 1 2)
- 2θ = 49.2°, d 1.854, rel. 21, (2 2 -1)

Structure:
Cell: 9.044 4.152 7.951 Å, 90.00 96.70 90.00°
Space group C2/m (No. 12)
Asymmetric unit:
Mg 0.000 0.000 0.000 (multiplicity 2)
Mg 0.122 0.500 0.394 (multiplicity 4)
Al 0.188 0.500 0.772 (multiplicity 4)
Cu 0.085 0.000 0.632 (multiplicity 4)
Cu 0.225 0.500 0.086 (multiplicity 4)


Record 3
PmSm3Dy6Ho2: simulated XRD peak list (Cu Kα, 1.54184 Å), based on a cell relaxed with GGA-PBE.
Kinematic intensities with the Lorentz-polarization factor, no thermal factor.

Most intense lines, 5° ≤ 2θ ≤ 70°, in order of rising 2θ:
- 2θ = 30.7°, d 2.913, rel. 100, (1 3 1)
- 2θ = 35.6°, d 2.522, rel. 51, (2 0 2)
- 2θ = 51.2°, d 1.784, rel. 36, (1 3 5)
- 2θ = 60.9°, d 1.521, rel. 36, (4 0 0)
- 2θ = 61.0°, d 1.520, rel. 7, (1 3 -7)
- 2θ = 63.9°, d 1.456, rel. 12, (2 6 2)

Structure:
Cell: 6.183 10.703 11.819 Å, 90.00 100.00 90.00°
Space group C2/m (No. 12)
Asymmetric unit:
Pm 0.000 0.000 0.000 (multiplicity 2)
Sm 0.000 0.167 0.500 (multiplicity 4)
Sm 0.000 0.500 0.500 (multiplicity 2)
Dy 0.249 0.500 0.248 (multiplicity 4)
Dy 0.250 0.167 0.249 (multiplicity 8)
Ho 0.000 0.333 0.000 (multiplicity 4)


Record 4
BiPSe: simulated XRD peak list (Cu Kα, 1.54184 Å), based on a cell relaxed with GGA-PBE.
Kinematic intensities with the Lorentz-polarization factor, no thermal factor.

Most intense lines, 5° ≤ 2θ ≤ 70°, in order of rising 2θ:
- 2θ = 16.7°, d 5.311, rel. 32, (0 0 3)
- 2θ = 23.9°, d 3.726, rel. 15, (1 0 1)
- 2θ = 25.8°, d 3.453, rel. 100, (0 1 2)
- 2θ = 32.4°, d 2.762, rel. 31, (1 0 4)
- 2θ = 36.7°, d 2.450, rel. 33, (0 1 5)
- 2θ = 40.8°, d 2.213, rel. 37, (1 1 0)
- 2θ = 44.4°, d 2.042, rel. 18, (1 1 3)
- 2θ = 46.4°, d 1.957, rel. 23, (1 0 7)
- 2θ = 48.9°, d 1.863, rel. 18, (2 0 2)
- 2θ = 67.8°, d 1.382, rel. 15, (1 1 9)

Structure:
Cell: 4.4250 4.4250 15.9345 Å, 90.00 90.00 120.00°
Space group R3m (No. 160, hexagonal axes)
Asymmetric unit:
Bi 0.0000 0.0000 0.0000 (multiplicity 3)
P 0.0000 0.0000 0.5876 (multiplicity 3)
Se 0.0000 0.0000 0.4457 (multiplicity 3)


Record 5
Tl2InTe4Pb: simulated XRD peak list (Cu Kα, 1.54184 Å), based on a cell relaxed with GGA-PBE.
Kinematic intensities with the Lorentz-polarization factor, no thermal factor.

Most intense lines, 5° ≤ 2θ ≤ 70°, in order of rising 2θ:
- 2θ = 20.6°, d 4.308, rel. 16, (2 0 0)
- 2θ = 26.0°, d 3.423, rel. 32, (2 1 1)
- 2θ = 29.3°, d 3.046, rel. 52, (2 2 0)
- 2θ = 31.8°, d 2.818, rel. 100, (2 0 2)
- 2θ = 38.2°, d 2.358, rel. 12, (2 2 2)
- 2θ = 45.1°, d 2.012, rel. 14, (4 1 1)
- 2θ = 47.2°, d 1.927, rel. 15, (4 2 0)
- 2θ = 48.9°, d 1.864, rel. 22, (0 0 4)
- 2θ = 53.6°, d 1.711, rel. 26, (4 2 2)
- 2θ = 58.0°, d 1.589, rel. 14, (2 2 4)

Structure:
Cell: 8.616 8.616 7.451 Å, 90.00 90.00 90.00°
Space group I-42m (No. 121)
Asymmetric unit:
Tl 0.000 0.500 0.000 (multiplicity 4)
In 0.000 0.000 0.000 (multiplicity 2)
Te 0.189 0.189 0.771 (multiplicity 8)
Pb 0.000 0.000 0.500 (multiplicity 2)


Record 6
LaGa3NiPt: simulated XRD peak list (Cu Kα, 1.54184 Å), based on a cell relaxed with GGA-PBE.
Kinematic intensities with the Lorentz-polarization factor, no thermal factor.

Most intense lines, 5° ≤ 2θ ≤ 70°, in order of rising 2θ:
- 2θ = 20.7°, d 4.282, rel. 27, (0 2 1)
- 2θ = 28.5°, d 3.136, rel. 42, (2 0 0)
- 2θ = 29.0°, d 3.078, rel. 36, (0 0 2)
- 2θ = 30.3°, d 2.947, rel. 51, (1 3 1)
- 2θ = 32.3°, d 2.775, rel. 39, (2 2 0)
- 2θ = 32.7°, d 2.735, rel. 42, (0 2 2)
- 2θ = 41.1°, d 2.197, rel. 100, (2 0 2)
- 2θ = 43.2°, d 2.096, rel. 93, (1 5 1)
- 2θ = 60.8°, d 1.523, rel. 33, (3 5 1)
- 2θ = 61.4°, d 1.509, rel. 32, (1 5 3)

Structure:
Cell: 6.272 11.922 6.155 Å, 90.00 90.00 90.00°
Space group Cmcm (No. 63)
Asymmetric unit:
La 0.000 0.238 0.250 (multiplicity 4)
Ga 0.000 0.344 0.750 (multiplicity 4)
Ga 0.214 0.000 0.000 (multiplicity 8)
Ni 0.000 0.462 0.250 (multiplicity 4)
Pt 0.000 0.138 0.750 (multiplicity 4)


Record 7
LaPrSeS: simulated XRD peak list (Cu Kα, 1.54184 Å), based on a cell relaxed with GGA-PBE.
Kinematic intensities with the Lorentz-polarization factor, no thermal factor.

Most intense lines, 5° ≤ 2θ ≤ 70°, in order of rising 2θ:
- 2θ = 25.8°, d 3.453, rel. 8, (0 0 6)
- 2θ = 25.9°, d 3.435, rel. 25, (0 1 2)
- 2θ = 30.0°, d 2.979, rel. 100, (1 0 4)
- 2θ = 32.7°, d 2.735, rel. 6, (0 1 5)
- 2θ = 42.9°, d 2.110, rel. 35, (0 1 8)
- 2θ = 43.0°, d 2.102, rel. 37, (1 1 0)
- 2θ = 50.9°, d 1.795, rel. 12, (2 0 2)
- 2θ = 53.0°, d 1.727, rel. 6, (0 0 12)
- 2θ = 53.3°, d 1.717, rel. 19, (0 2 4)
- 2θ = 62.3°, d 1.489, rel. 11, (2 0 8)

Structure:
Cell: 4.2037 4.2037 20.7209 Å, 90.00 90.00 120.00°
Space group R3m (No. 160, hexagonal axes)
Asymmetric unit:
La 0.0000 0.0000 0.0000 (multiplicity 3)
Pr 0.0000 0.0000 0.5132 (multiplicity 3)
Se 0.0000 0.0000 0.7570 (multiplicity 3)
S 0.0000 0.0000 0.2558 (multiplicity 3)


Record 8
Ce2Mg5Hg3: simulated XRD peak list (Cu Kα, 1.54184 Å), based on a cell relaxed with GGA-PBE.
Kinematic intensities with the Lorentz-polarization factor, no thermal factor.

Most intense lines, 5° ≤ 2θ ≤ 70°, in order of rising 2θ:
- 2θ = 21.0°, d 4.226, rel. 41, (2 1 1)
- 2θ = 22.3°, d 3.988, rel. 100, (3 1 0)
- 2θ = 29.1°, d 3.067, rel. 93, (3 2 1)
- 2θ = 29.7°, d 3.005, rel. 37, (1 1 2)
- 2θ = 31.4°, d 2.848, rel. 67, (2 0 2)
- 2θ = 31.7°, d 2.821, rel. 61, (2 4 0)
- 2θ = 40.2°, d 2.244, rel. 87, (0 4 2)
- 2θ = 41.1°, d 2.198, rel. 78, (5 2 1)
- 2θ = 41.5°, d 2.175, rel. 28, (3 3 2)
- 2θ = 59.0°, d 1.566, rel. 27, (5 6 1)

Structure:
Cell: 12.605 12.620 6.384 Å, 90.00 90.00 90.00°
Space group Ibam (No. 72)
Asymmetric unit:
Ce 0.240 0.133 0.000 (multiplicity 8)
Mg 0.000 0.000 0.250 (multiplicity 4)
Mg 0.000 0.252 0.250 (multiplicity 8)
Mg 0.144 0.390 0.000 (multiplicity 8)
Hg 0.000 0.500 0.250 (multiplicity 4)
Hg 0.142 0.127 0.500 (multiplicity 8)